Computed powder XRD pattern
Compound: K2ZnP2O7
Radiation: Cu Kα (λ = 1.5418 Å)
Structure: a cell relaxed with PBE

```
data_K2ZnP2O7
_cell_length_a 7.9860
_cell_length_b 7.9860
_cell_length_c 11.4750
_cell_angle_alpha 90.00
_cell_angle_beta 90.00
_cell_angle_gamma 90.00
_symmetry_space_group_name_H-M 'P 42/m n m'
_symmetry_Int_Tables_number 136
_symmetry_space_group_name_Hall '-P 4n 2n'
loop_
_atom_site_label
_atom_site_type_symbol
_atom_site_fract_x
_atom_site_fract_y
_atom_site_fract_z
K1 K 0.1513 0.1513 0.0000
K2 K 0.1844 0.1844 0.5000
Zn1 Zn 0.0000 0.5000 0.2500
P1 P 0.1362 0.8638 0.2810
O1 O 0.0000 0.0000 0.3319
O2 O 0.0787 0.6984 0.3395
O3 O 0.1356 0.8644 0.1497
```

Largest 8 diffraction maxima, in order of falling intensity, 10° ≤ 2θ ≤ 80°:
2θ (°)  Rel. int.
29.46  100
27.21  52
15.44  43
48.00  34
35.55  32
22.09  27
51.12  17
45.05  12

---

Computed powder XRD pattern
Compound: K2ZrP2O8
Radiation: Cu Kα (λ = 1.5418 Å)
Structure: a cell relaxed with PBE

```
data_K2ZrP2O8
_cell_length_a 5.2825
_cell_length_b 5.2825
_cell_length_c 9.0793
_cell_angle_alpha 90.00
_cell_angle_beta 90.00
_cell_angle_gamma 120.00
_symmetry_space_group_name_H-M 'P -3'
_symmetry_Int_Tables_number 147
loop_
_symmetry_equiv_pos_as_xyz
'x,y,z'
'-x,-y,-z'
'-y,x-y,z'
'y,-x+y,-z'
'-x+y,-x,z'
'x-y,x,-z'
loop_
_atom_site_label
_atom_site_type_symbol
_atom_site_fract_x
_atom_site_fract_y
_atom_site_fract_z
K1 K 0.3333 0.6667 0.1522
Zr1 Zr 0.0000 0.0000 0.5000
P1 P 0.3333 0.6667 0.6952
O1 O 0.0983 0.3613 0.6355
O2 O 0.3333 0.6667 0.8628
```

Largest 8 diffraction maxima, in order of falling intensity, 10° ≤ 2θ ≤ 80°:
2θ (°)  Rel. int.
21.75  100
27.68  95
33.94  52
45.59  26
44.56  23
56.99  18
53.98  17
44.35  17

---

Computed powder XRD pattern
Compound: KPa3O7
Radiation: Cu Kα (λ = 1.5418 Å)
Structure: a cell relaxed with PBE

```
data_KPa3O7
_cell_length_a 6.9779
_cell_length_b 13.4087
_cell_length_c 4.2278
_cell_angle_alpha 90.00
_cell_angle_beta 90.00
_cell_angle_gamma 90.00
_symmetry_space_group_name_H-M 'C m m m'
_symmetry_Int_Tables_number 65
_symmetry_space_group_name_Hall '-C 2 2'
loop_
_atom_site_label
_atom_site_type_symbol
_atom_site_fract_x
_atom_site_fract_y
_atom_site_fract_z
K1 K 0.0000 0.0000 0.0000
Pa1 Pa 0.0000 0.2354 0.0000
Pa2 Pa 0.0000 0.5000 0.0000
O1 O 0.0000 0.2041 0.5000
O2 O 0.0000 0.5000 0.5000
O3 O 0.2108 0.3653 0.0000
```

Largest 8 diffraction maxima, in order of falling intensity, 10° ≤ 2θ ≤ 80°:
2θ (°)  Rel. int.
21.01  100
25.53  68
43.11  59
37.20  53
26.59  44
33.30  43
34.13  39
23.64  31

---

Computed powder XRD pattern
Compound: K2PaO4
Radiation: Cu Kα (λ = 1.5418 Å)
Structure: a cell relaxed with PBE

```
data_K2PaO4
_cell_length_a 6.2783
_cell_length_b 6.2783
_cell_length_c 27.0390
_cell_angle_alpha 90.00
_cell_angle_beta 90.00
_cell_angle_gamma 90.00
_symmetry_space_group_name_H-M 'I 41/a c d'
_symmetry_Int_Tables_number 142
loop_
_symmetry_equiv_pos_as_xyz
'x,y,z'
'-x,-y,-z'
'-y+1/4,x+3/4,z+1/4'
'y+1/4,-x+3/4,-z+1/4'
'-x+1/2,-y,z+1/2'
'x+1/2,y,-z+1/2'
'y+1/4,-x+1/4,z+3/4'
'-y+1/4,x+1/4,-z+3/4'
'x,-y,-z+1/2'
'-x,y,z+1/2'
'-y+1/4,-x+1/4,-z+1/4'
'y+1/4,x+1/4,z+1/4'
'-x+1/2,y,-z'
'x+1/2,-y,z'
'y+1/4,x+3/4,-z+3/4'
'-y+1/4,-x+3/4,z+3/4'
'x+1/2,y+1/2,z+1/2'
'-x+1/2,-y+1/2,-z+1/2'
'-y+3/4,x+1/4,z+3/4'
'y+3/4,-x+1/4,-z+3/4'
'-x,-y+1/2,z'
'x,y+1/2,-z'
'y+3/4,-x+3/4,z+1/4'
'-y+3/4,x+3/4,-z+1/4'
'x+1/2,-y+1/2,-z'
'-x+1/2,y+1/2,z'
'-y+3/4,-x+3/4,-z+3/4'
'y+3/4,x+3/4,z+3/4'
'-x,y+1/2,-z+1/2'
'x,-y+1/2,z+1/2'
'y+3/4,x+1/4,-z+1/4'
'-y+3/4,-x+1/4,z+1/4'
loop_
_atom_site_label
_atom_site_type_symbol
_atom_site_fract_x
_atom_site_fract_y
_atom_site_fract_z
K1 K 0.0000 0.2500 0.0492
Pa1 Pa 0.0000 0.2500 0.3750
O1 O 0.0000 0.2500 0.3002
O2 O 0.2455 0.0045 0.1250
```

Largest 8 diffraction maxima, in order of falling intensity, 10° ≤ 2θ ≤ 80°:
2θ (°)  Rel. int.
21.06  100
28.22  94
13.10  93
28.43  60
50.21  39
40.65  33
46.22  27
39.00  27

---

Computed powder XRD pattern
Compound: KPa2Pb2O7
Radiation: Cu Kα (λ = 1.5418 Å)
Structure: a cell relaxed with PBE

```
data_KPa2Pb2O7
_cell_length_a 4.2930
_cell_length_b 4.5165
_cell_length_c 24.7112
_cell_angle_alpha 90.00
_cell_angle_beta 90.00
_cell_angle_gamma 90.00
_symmetry_space_group_name_H-M 'I m m m'
_symmetry_Int_Tables_number 71
_symmetry_space_group_name_Hall '-I 2 2'
loop_
_atom_site_label
_atom_site_type_symbol
_atom_site_fract_x
_atom_site_fract_y
_atom_site_fract_z
K1 K 0.0000 0.0000 0.0000
Pa1 Pa 0.0000 0.0000 0.4112
Pb1 Pb 0.0000 0.5000 0.2978
O1 O 0.0000 0.0000 0.3250
O2 O 0.0000 0.0000 0.5000
O3 O 0.0000 0.5000 0.0810
O4 O 0.0000 0.5000 0.3997
```

Largest 8 diffraction maxima, in order of falling intensity, 10° ≤ 2θ ≤ 80°:
2θ (°)  Rel. int.
26.74  100
29.61  68
21.00  64
32.85  40
23.37  40
50.57  37
53.35  31
45.55  27